NaCaPN2: simulated XRD peak list (Cu Kα), based on a cell relaxed with GGA-PBE.
Kinematic intensities with the Lorentz-polarization factor, no thermal factor.

Structural model:
a = 5.109 Å, b = 5.529 Å, c = 7.017 Å
α = 90.00°, β = 90.00°, γ = 90.00°
Sites, in units of the cell vectors:
Na 0.000 0.000 0.250
Na 0.000 0.000 0.750
Ca 0.500 0.500 0.250
Ca 0.500 0.500 0.750
P 0.500 0.000 0.000
P 0.500 0.000 0.500
N 0.325 0.239 0.000
N 0.325 0.761 0.500
N 0.675 0.239 0.500
N 0.675 0.761 0.000

Main lines, low angle first (2θ = 15–90°):
2theta	d [Å]	I (rel.)
17.36	5.109	68.3
23.71	3.752	17.4
26.95	3.309	14.2
30.17	2.962	20.3
32.39	2.764	15.9
35.01	2.563	100.0
35.13	2.555	17.1
48.52	1.876	23.5
59.47	1.554	17.7
62.95	1.476	14.9


NaCa2Tc2N4: simulated XRD peak list (Cu Kα), based on a cell relaxed with GGA-PBE.
Kinematic intensities with the Lorentz-polarization factor, no thermal factor.

Structural model:
a = 5.953 Å, b = 5.953 Å, c = 8.595 Å
α = 126.81°, β = 126.81°, γ = 33.14°
Sites, in units of the cell vectors:
Na 0.000 0.000 0.000
Ca 0.394 0.394 0.217
Ca 0.606 0.606 0.783
Tc 0.279 0.279 0.633
Tc 0.721 0.721 0.367
N 0.096 0.096 0.342
N 0.282 0.282 0.851
N 0.718 0.718 0.149
N 0.904 0.904 0.658

Main lines, low angle first (2θ = 15–90°):
2theta	d [Å]	I (rel.)
15.55	5.699	98.8
19.94	4.454	76.9
33.56	2.671	33.8
34.31	2.614	100.0
35.88	2.503	60.4
36.33	2.473	33.5
40.35	2.235	37.3
44.23	2.048	36.5
48.62	1.873	37.5
53.33	1.718	32.4


NaCa2UN4: simulated XRD peak list (Cu Kα), based on a cell relaxed with GGA-PBE.
Kinematic intensities with the Lorentz-polarization factor, no thermal factor.

Structural model:
a = 6.133 Å, b = 4.786 Å, c = 6.134 Å
α = 67.03°, β = 45.92°, γ = 67.05°
Sites, in units of the cell vectors:
Na 0.000 0.000 0.000
Ca 0.252 0.252 0.248
Ca 0.752 0.752 0.748
U 0.498 0.498 0.502
N 0.009 0.500 0.991
N 0.309 0.697 0.303
N 0.500 0.009 0.500
N 0.697 0.309 0.691

Main lines, low angle first (2θ = 15–90°):
2theta	d [Å]	I (rel.)
17.33	5.116	23.1
20.49	4.335	100.0
26.34	3.384	16.6
31.70	2.822	63.7
32.23	2.777	23.4
35.08	2.558	20.0
37.59	2.393	37.0
43.19	2.095	30.1
52.36	1.747	24.4
64.18	1.451	18.2


CaNb2N4: simulated XRD peak list (Cu Kα), based on a cell relaxed with GGA-PBE.
Kinematic intensities with the Lorentz-polarization factor, no thermal factor.

Structural model:
a = 6.586 Å, b = 6.586 Å, c = 6.586 Å
α = 121.27°, β = 121.27°, γ = 87.82°
Sites, in units of the cell vectors:
Ca 0.000 0.000 0.000
Ca 0.750 0.250 0.500
Nb 0.378 0.645 0.733
Nb 0.395 0.163 0.767
Nb 0.395 0.628 0.233
Nb 0.913 0.645 0.267
N 0.130 0.850 0.279
N 0.133 0.426 0.293
N 0.133 0.840 0.707
N 0.176 0.383 0.793
N 0.571 0.850 0.721
N 0.590 0.383 0.207
N 0.600 0.380 0.779
N 0.600 0.821 0.221

Main lines, low angle first (2θ = 15–90°):
2theta	d [Å]	I (rel.)
16.60	5.340	100.0
31.49	2.841	52.7
32.40	2.763	95.1
33.57	2.670	60.7
37.93	2.372	19.5
39.46	2.284	34.8
51.94	1.760	34.3
55.88	1.645	42.8
57.03	1.615	20.9
67.83	1.382	17.3


Ca3NpNb3N8: simulated XRD peak list (Cu Kα), based on a cell relaxed with GGA-PBE.
Kinematic intensities with the Lorentz-polarization factor, no thermal factor.

Structural model:
a = 6.774 Å, b = 6.774 Å, c = 6.774 Å
α = 56.74°, β = 56.74°, γ = 56.74°
Sites, in units of the cell vectors:
Ca 0.000 0.500 0.500
Ca 0.500 0.000 0.500
Ca 0.500 0.500 0.000
Np 0.500 0.500 0.500
Nb 0.000 0.000 0.500
Nb 0.000 0.500 0.000
Nb 0.500 0.000 0.000
N 0.235 0.732 0.732
N 0.240 0.240 0.240
N 0.268 0.268 0.765
N 0.268 0.765 0.268
N 0.732 0.235 0.732
N 0.732 0.732 0.235
N 0.760 0.760 0.760
N 0.765 0.268 0.268

Main lines, low angle first (2θ = 15–90°):
2theta	d [Å]	I (rel.)
15.65	5.664	100.0
16.73	5.298	44.8
31.60	2.832	31.4
31.98	2.799	18.0
32.55	2.751	41.3
33.84	2.649	74.5
38.63	2.331	98.4
54.30	1.689	32.8
57.23	1.610	29.7
66.86	1.399	23.0


CaNbNO2: simulated XRD peak list (Cu Kα), based on a cell relaxed with GGA-PBE.
Kinematic intensities with the Lorentz-polarization factor, no thermal factor.

Structural model:
a = 5.570 Å, b = 5.717 Å, c = 9.679 Å
α = 90.00°, β = 124.81°, γ = 90.00°
Sites, in units of the cell vectors:
Ca 0.231 0.047 0.246
Ca 0.231 0.453 0.746
Ca 0.769 0.547 0.254
Ca 0.769 0.953 0.754
Nb 0.000 0.000 0.500
Nb 0.000 0.500 0.000
Nb 0.500 0.000 0.000
Nb 0.500 0.500 0.500
N 0.166 0.213 0.954
N 0.166 0.287 0.454
N 0.834 0.713 0.546
N 0.834 0.787 0.046
O 0.235 0.711 0.945
O 0.235 0.789 0.445
O 0.346 0.026 0.751
O 0.346 0.474 0.251
O 0.654 0.526 0.749
O 0.654 0.974 0.249
O 0.765 0.211 0.555
O 0.765 0.289 0.055

Main lines, low angle first (2θ = 15–90°):
2theta	d [Å]	I (rel.)
22.31	3.985	100.0
31.29	2.858	46.8
31.72	2.821	92.8
31.85	2.810	89.6
32.14	2.785	41.1
45.47	1.995	55.2
45.67	1.987	28.6
56.01	1.642	31.3
56.95	1.617	21.6
57.17	1.611	32.5


CaPa2Nb3N6: simulated XRD peak list (Cu Kα), based on a cell relaxed with GGA-PBE.
Kinematic intensities with the Lorentz-polarization factor, no thermal factor.

Structural model:
a = 7.364 Å, b = 7.364 Å, c = 6.599 Å
α = 102.64°, β = 102.64°, γ = 25.96°
Sites, in units of the cell vectors:
Ca 0.000 0.000 0.000
Pa 0.335 0.335 0.672
Pa 0.665 0.665 0.328
Nb 0.000 0.000 0.500
Nb 0.337 0.337 0.179
Nb 0.663 0.663 0.821
N 0.160 0.160 0.592
N 0.171 0.171 0.070
N 0.499 0.499 0.266
N 0.501 0.501 0.734
N 0.829 0.829 0.930
N 0.840 0.840 0.408

Main lines, low angle first (2θ = 15–90°):
2theta	d [Å]	I (rel.)
16.50	5.373	12.5
27.73	3.217	13.4
33.20	2.699	99.5
33.35	2.686	33.1
38.57	2.334	100.0
55.58	1.653	33.3
55.83	1.647	22.1
66.31	1.410	23.5
66.43	1.407	19.1
69.69	1.349	16.5


CaNbPb2N: simulated XRD peak list (Cu Kα), based on a cell relaxed with GGA-PBE.
Kinematic intensities with the Lorentz-polarization factor, no thermal factor.

Structural model:
a = 5.369 Å, b = 5.369 Å, c = 4.132 Å
α = 90.00°, β = 90.00°, γ = 90.00°
Sites, in units of the cell vectors:
Ca 0.000 0.000 0.000
Nb 0.500 0.500 0.000
Pb 0.000 0.500 0.500
Pb 0.500 0.000 0.500
N 0.500 0.500 0.500

Main lines, low angle first (2θ = 15–90°):
2theta	d [Å]	I (rel.)
21.50	4.132	18.3
23.43	3.797	23.8
32.01	2.796	100.0
33.38	2.685	49.6
40.05	2.251	15.9
43.82	2.066	11.7
47.92	1.898	18.0
56.18	1.637	22.4
58.80	1.570	36.1
66.94	1.398	13.2


CaPu2NbN4: simulated XRD peak list (Cu Kα), based on a cell relaxed with GGA-PBE.
Kinematic intensities with the Lorentz-polarization factor, no thermal factor.

Structural model:
a = 6.191 Å, b = 6.191 Å, c = 12.429 Å
α = 90.00°, β = 90.00°, γ = 147.95°
Sites, in units of the cell vectors:
Ca 0.111 0.889 0.750
Ca 0.889 0.111 0.250
Pu 0.368 0.632 0.531
Pu 0.368 0.632 0.969
Pu 0.632 0.368 0.031
Pu 0.632 0.368 0.469
Nb 0.155 0.845 0.250
Nb 0.845 0.155 0.750
N 0.000 0.000 0.000
N 0.000 0.000 0.500
N 0.259 0.741 0.127
N 0.259 0.741 0.373
N 0.442 0.558 0.750
N 0.558 0.442 0.250
N 0.741 0.259 0.627
N 0.741 0.259 0.873

Main lines, low angle first (2θ = 15–90°):
2theta	d [Å]	I (rel.)
16.52	5.367	35.2
27.14	3.285	27.1
28.73	3.107	49.9
30.03	2.975	55.6
30.79	2.904	93.2
33.39	2.684	28.4
34.85	2.574	26.1
37.63	2.390	100.0
39.28	2.294	39.1
42.05	2.149	32.5


Ca3PuNb3N8: simulated XRD peak list (Cu Kα), based on a cell relaxed with GGA-PBE.
Kinematic intensities with the Lorentz-polarization factor, no thermal factor.

Structural model:
a = 6.765 Å, b = 6.765 Å, c = 6.765 Å
α = 56.87°, β = 56.87°, γ = 56.87°
Sites, in units of the cell vectors:
Ca 0.000 0.500 0.500
Ca 0.500 0.000 0.500
Ca 0.500 0.500 0.000
Pu 0.500 0.500 0.500
Nb 0.000 0.000 0.500
Nb 0.000 0.500 0.000
Nb 0.500 0.000 0.000
N 0.230 0.735 0.735
N 0.240 0.240 0.240
N 0.265 0.265 0.770
N 0.265 0.770 0.265
N 0.735 0.230 0.735
N 0.735 0.735 0.230
N 0.760 0.760 0.760
N 0.770 0.265 0.265

Main lines, low angle first (2θ = 15–90°):
2theta	d [Å]	I (rel.)
15.68	5.651	100.0
16.73	5.300	44.8
31.67	2.826	31.3
31.98	2.799	18.4
32.53	2.753	41.6
33.83	2.650	74.7
38.64	2.330	98.3
54.37	1.688	32.7
57.19	1.611	29.8
66.86	1.399	23.0


CaSm2NbN4: simulated XRD peak list (Cu Kα), based on a cell relaxed with GGA-PBE.
Kinematic intensities with the Lorentz-polarization factor, no thermal factor.

Structural model:
a = 6.314 Å, b = 6.314 Å, c = 12.486 Å
α = 90.00°, β = 90.00°, γ = 148.01°
Sites, in units of the cell vectors:
Ca 0.107 0.893 0.750
Ca 0.893 0.107 0.250
Sm 0.370 0.630 0.533
Sm 0.370 0.630 0.967
Sm 0.630 0.370 0.033
Sm 0.630 0.370 0.467
Nb 0.161 0.839 0.250
Nb 0.839 0.161 0.750
N 0.000 0.000 0.000
N 0.000 0.000 0.500
N 0.260 0.740 0.127
N 0.260 0.740 0.373
N 0.433 0.567 0.750
N 0.567 0.433 0.250
N 0.740 0.260 0.627
N 0.740 0.260 0.873

Main lines, low angle first (2θ = 15–90°):
2theta	d [Å]	I (rel.)
16.24	5.458	43.2
28.60	3.121	50.0
29.43	3.035	49.5
30.32	2.948	92.7
34.40	2.607	25.8
36.99	2.430	100.0
39.00	2.309	36.4
41.50	2.176	30.1
50.84	1.796	20.7
58.68	1.573	23.6


CaNb2VN4: simulated XRD peak list (Cu Kα), based on a cell relaxed with GGA-PBE.
Kinematic intensities with the Lorentz-polarization factor, no thermal factor.

Structural model:
a = 5.682 Å, b = 5.682 Å, c = 11.023 Å
α = 90.00°, β = 90.00°, γ = 147.66°
Sites, in units of the cell vectors:
Ca 0.107 0.893 0.750
Ca 0.893 0.107 0.250
Nb 0.369 0.631 0.540
Nb 0.369 0.631 0.960
Nb 0.631 0.369 0.040
Nb 0.631 0.369 0.460
V 0.158 0.842 0.250
V 0.842 0.158 0.750
N 0.000 0.000 0.000
N 0.000 0.000 0.500
N 0.267 0.733 0.118
N 0.267 0.733 0.382
N 0.438 0.562 0.750
N 0.562 0.438 0.250
N 0.733 0.267 0.618
N 0.733 0.267 0.882

Main lines, low angle first (2θ = 15–90°):
2theta	d [Å]	I (rel.)
16.08	5.512	33.3
18.14	4.890	29.9
29.33	3.045	46.0
32.49	2.756	39.9
32.82	2.728	48.7
33.68	2.661	81.5
41.21	2.191	100.0
44.31	2.044	32.8
46.86	1.939	23.7
57.06	1.614	22.6


CaNdN: simulated XRD peak list (Cu Kα), based on a cell relaxed with GGA-PBE.
Kinematic intensities with the Lorentz-polarization factor, no thermal factor.

Structural model:
a = 3.516 Å, b = 3.516 Å, c = 13.209 Å
α = 90.00°, β = 90.00°, γ = 120.00°
Sites, in units of the cell vectors:
Ca 0.000 0.000 0.102
Ca 0.000 0.000 0.898
Nd 0.333 0.667 0.383
Nd 0.333 0.667 0.617
N 0.000 0.000 0.500
N 0.333 0.667 0.000

Main lines, low angle first (2θ = 15–90°):
2theta	d [Å]	I (rel.)
20.17	4.403	16.3
27.00	3.302	43.7
29.33	3.045	71.2
30.12	2.967	100.0
35.85	2.505	51.1
40.29	2.239	51.4
45.45	1.995	60.7
52.01	1.758	30.9
59.57	1.552	28.8
71.35	1.322	15.2